# MgVFeP4O14
Calculated powder diffractogram, Cu Kα, 1.54184 Å. Input: a GGA+U-relaxed structure.

The 10 most intense peaks (2θ from 5° to 70°), most intense first:
Position (°2θ)	I (rel.)
28.8	100.0
17.1	97.3
29.1	88.7
22.3	79.5
17.2	75.0
26.8	48.9
29.8	45.5
22.1	30.1
13.5	23.8
21.7	23.4

Atomic structure:
```
data_MgVFeP4O14
_cell_length_a 4.921
_cell_length_b 6.934
_cell_length_c 8.383
_cell_angle_alpha 90.24
_cell_angle_beta 90.83
_cell_angle_gamma 108.83
_symmetry_space_group_name_H-M 'P 1'
_symmetry_Int_Tables_number 1
loop_
_symmetry_equiv_pos_as_xyz
'x,y,z'
loop_
_atom_site_label
_atom_site_type_symbol
_atom_site_fract_x
_atom_site_fract_y
_atom_site_fract_z
Mg1 Mg 0.000 0.000 0.000
V1 V 0.020 0.028 0.380
Fe1 Fe 0.582 0.561 0.857
P1 P 0.032 0.391 0.087
P2 P 0.193 0.816 0.686
P3 P 0.422 0.789 0.187
P4 P 0.600 0.212 0.591
O1 O 0.072 0.806 0.519
O2 O 0.208 0.911 0.181
O3 O 0.213 0.342 0.951
O4 O 0.238 0.552 0.209
O5 O 0.345 0.661 0.716
O6 O 0.411 0.208 0.444
O7 O 0.421 0.042 0.719
O8 O 0.574 0.804 0.024
O9 O 0.626 0.838 0.328
O10 O 0.677 0.406 0.691
O11 O 0.797 0.471 0.031
O12 O 0.870 0.159 0.552
O13 O 0.925 0.190 0.180
O14 O 0.968 0.809 0.818
```